Simulated powder XRD pattern of CoHgCl4 for copper Kα, from DFT lattice parameters and positions (PBE).
Peak positions follow from Bragg's law for the DFT cell and can differ from measured ones.

Most intense lines, 5° ≤ 2θ ≤ 70°, in order of falling intensity:
- 27.1 deg, intensity 100, (1 1 2)
- 14.9 deg, intensity 83, (1 0 0)
- 22.5 deg, intensity 69, (1 0 2)
- 46.0 deg, intensity 40, (2 0 4)
- 37.9 deg, intensity 37, (2 1 2)
- 51.6 deg, intensity 31, (3 1 2)
- 33.7 deg, intensity 27, (2 1 0)
- 43.0 deg, intensity 24, (2 2 0)

Structural model:
Cell lengths 5.947, 5.947, 10.540 Å; angles 90.00, 90.00, 90.00 degrees
Atoms (fractional coordinates):
Co 0.000 0.500 0.250
Co 0.500 0.000 0.750
Hg 0.000 0.000 0.000
Hg 0.000 0.000 0.500
Cl 0.229 0.282 0.368
Cl 0.229 0.718 0.132
Cl 0.282 0.229 0.868
Cl 0.282 0.771 0.632
Cl 0.718 0.229 0.632
Cl 0.718 0.771 0.868
Cl 0.771 0.282 0.132
Cl 0.771 0.718 0.368